Structure and computed powder X-ray diffraction pattern of HfCrReNi (a crystal structure in Alexandria, relaxed with PBE; Cu Kα).

Largest 10 diffraction maxima, in order of rising 2θ, 15° ≤ 2θ ≤ 90°:
4.137 Å, intensity 32, hkl 0 1 0
2.629 Å, intensity 20, hkl 1 0 1
2.219 Å, intensity 100, hkl 1 1 1
2.202 Å, intensity 24, hkl 0 0 2
2.068 Å, intensity 20, hkl 0 2 0
1.626 Å, intensity 10, hkl 1 2 1
1.508 Å, intensity 15, hkl 0 2 2
1.275 Å, intensity 16, hkl 1 1 3
1.221 Å, intensity 14, hkl 1 3 1
1.109 Å, intensity 11, hkl 2 2 2

Cell lengths 3.276, 4.137, 4.404 Å; angles 90.00, 90.00, 90.00 degrees
Element x y z (fractional)
Hf1 0.000 0.000 0.000
Cr1 0.000 0.500 0.500
Re1 0.500 0.000 0.500
Ni1 0.500 0.500 0.000